[1]
Diffraction record for Hf3Sc4O12. The PXRD pattern is simulated, not measured: it uses a PBE-relaxed structure and λ = 1.5418 Å (Cu Kα).
Lines closer than 0.1° are merged.

Top 8 peaks for 10 to 80 degrees two-theta, sorted by position:
2θ (°), Rel. int.
14.80, 25.8
23.06, 20.9
30.63, 46.1
30.68, 100.0
30.86, 48.3
35.61, 50.9
51.11, 43.5
51.34, 27.5

Structural model:
abc: 6.178 6.193 18.152
angles: 96.71 96.82 99.65
Fractional positions:
Hf 0.000 0.000 0.000
Hf 0.015 0.067 0.795
Hf 0.177 0.699 0.563
Hf 0.333 0.327 0.333
Hf 0.571 0.917 0.101
Hf 0.666 0.658 0.667
Hf 0.758 0.590 0.853
Hf 0.842 0.365 0.229
Hf 0.902 0.249 0.436
Sc 0.111 0.815 0.362
Sc 0.114 0.921 0.186
Sc 0.235 0.584 0.767
Sc 0.243 0.471 0.943
Sc 0.342 0.398 0.125
Sc 0.441 0.139 0.695
Sc 0.449 0.255 0.520
Sc 0.502 0.026 0.897
Sc 0.573 0.802 0.278
Sc 0.673 0.729 0.457
Sc 0.777 0.477 0.029
Sc 0.908 0.135 0.612
O 0.001 0.362 0.337
O 0.004 0.669 0.456
O 0.006 0.389 0.838
O 0.058 0.357 0.545
O 0.066 0.346 0.038
O 0.132 0.254 0.708
O 0.142 0.275 0.205
O 0.206 0.121 0.923
O 0.212 0.144 0.424
O 0.278 0.039 0.085
O 0.289 0.035 0.583
O 0.329 0.005 0.293
O 0.329 0.006 0.790
O 0.342 0.703 0.671
O 0.363 0.726 0.170
O 0.394 0.675 0.372
O 0.412 0.675 0.875
O 0.470 0.600 0.039
O 0.476 0.608 0.539
O 0.549 0.466 0.756
O 0.559 0.452 0.265
O 0.610 0.370 0.420
O 0.624 0.368 0.919
O 0.663 0.336 0.626
O 0.671 0.339 0.123
O 0.675 0.036 0.005
O 0.698 0.056 0.504
O 0.727 0.022 0.210
O 0.733 0.011 0.709
O 0.802 0.932 0.372
O 0.802 0.936 0.870
O 0.881 0.808 0.090
O 0.896 0.785 0.601
O 0.937 0.710 0.758
O 0.959 0.701 0.250
O 0.994 0.676 0.956

=====

[2]
Diffraction record for Hf3Sc4O12. The PXRD pattern is simulated, not measured: it uses a PBE-relaxed structure and λ = 1.5418 Å (Cu Kα).
Lines closer than 0.1° are merged.

Top 8 peaks for 10 to 80 degrees two-theta, sorted by position:
2θ (°), Rel. int.
14.81, 20.1
17.83, 27.6
23.01, 25.5
30.55, 42.8
30.71, 100.0
30.81, 48.0
35.59, 51.5
51.22, 28.6

Structural model:
abc: 6.178 6.186 12.316
angles: 99.33 99.30 99.51
Fractional positions:
Hf 0.005 0.002 0.249
Hf 0.141 0.612 0.907
Hf 0.316 0.142 0.556
Hf 0.684 0.858 0.444
Hf 0.859 0.388 0.093
Hf 0.995 0.998 0.751
Sc 0.137 0.605 0.406
Sc 0.320 0.140 0.056
Sc 0.391 0.687 0.180
Sc 0.393 0.682 0.681
Sc 0.607 0.318 0.319
Sc 0.609 0.313 0.820
Sc 0.680 0.860 0.944
Sc 0.863 0.395 0.594
O 0.052 0.679 0.201
O 0.060 0.677 0.710
O 0.091 0.945 0.412
O 0.093 0.939 0.910
O 0.175 0.419 0.036
O 0.179 0.417 0.537
O 0.317 0.092 0.718
O 0.323 0.092 0.222
O 0.415 0.817 0.037
O 0.420 0.574 0.840
O 0.424 0.585 0.341
O 0.427 0.825 0.540
O 0.573 0.175 0.460
O 0.576 0.415 0.659
O 0.580 0.426 0.160
O 0.585 0.183 0.963
O 0.677 0.908 0.778
O 0.683 0.908 0.282
O 0.821 0.583 0.463
O 0.825 0.581 0.964
O 0.907 0.061 0.090
O 0.909 0.055 0.588
O 0.940 0.323 0.290
O 0.948 0.321 0.799

=====

[3]
Diffraction record for HfSiO4. The PXRD pattern is simulated, not measured: it uses a PBE-relaxed structure and λ = 1.5418 Å (Cu Kα).
Lines closer than 0.1° are merged.

Top 8 peaks for 10 to 80 degrees two-theta, sorted by position:
2θ (°), Rel. int.
19.95, 89.9
26.92, 100.0
33.73, 32.9
35.50, 72.5
38.43, 21.4
43.67, 23.8
52.05, 21.4
53.32, 59.7

Structural model:
abc: 5.565 5.565 5.565
angles: 106.94 106.94 114.66
Fractional positions:
Hf 0.375 0.625 0.750
Hf 0.625 0.375 0.250
Si 0.125 0.875 0.250
Si 0.875 0.125 0.750
O 0.128 0.693 0.435
O 0.241 0.307 0.935
O 0.307 0.241 0.435
O 0.307 0.872 0.065
O 0.693 0.128 0.935
O 0.693 0.759 0.565
O 0.759 0.693 0.065
O 0.872 0.307 0.565

=====

> What is the formula in the third record?

HfSiO4

=====

Copy entry 1 word for word.
Diffraction record for Hf3Sc4O12. The PXRD pattern is simulated, not measured: it uses a PBE-relaxed structure and λ = 1.5418 Å (Cu Kα).
Lines closer than 0.1° are merged.

Top 8 peaks for 10 to 80 degrees two-theta, sorted by position:
2θ (°), Rel. int.
14.80, 25.8
23.06, 20.9
30.63, 46.1
30.68, 100.0
30.86, 48.3
35.61, 50.9
51.11, 43.5
51.34, 27.5

Structural model:
abc: 6.178 6.193 18.152
angles: 96.71 96.82 99.65
Fractional positions:
Hf 0.000 0.000 0.000
Hf 0.015 0.067 0.795
Hf 0.177 0.699 0.563
Hf 0.333 0.327 0.333
Hf 0.571 0.917 0.101
Hf 0.666 0.658 0.667
Hf 0.758 0.590 0.853
Hf 0.842 0.365 0.229
Hf 0.902 0.249 0.436
Sc 0.111 0.815 0.362
Sc 0.114 0.921 0.186
Sc 0.235 0.584 0.767
Sc 0.243 0.471 0.943
Sc 0.342 0.398 0.125
Sc 0.441 0.139 0.695
Sc 0.449 0.255 0.520
Sc 0.502 0.026 0.897
Sc 0.573 0.802 0.278
Sc 0.673 0.729 0.457
Sc 0.777 0.477 0.029
Sc 0.908 0.135 0.612
O 0.001 0.362 0.337
O 0.004 0.669 0.456
O 0.006 0.389 0.838
O 0.058 0.357 0.545
O 0.066 0.346 0.038
O 0.132 0.254 0.708
O 0.142 0.275 0.205
O 0.206 0.121 0.923
O 0.212 0.144 0.424
O 0.278 0.039 0.085
O 0.289 0.035 0.583
O 0.329 0.005 0.293
O 0.329 0.006 0.790
O 0.342 0.703 0.671
O 0.363 0.726 0.170
O 0.394 0.675 0.372
O 0.412 0.675 0.875
O 0.470 0.600 0.039
O 0.476 0.608 0.539
O 0.549 0.466 0.756
O 0.559 0.452 0.265
O 0.610 0.370 0.420
O 0.624 0.368 0.919
O 0.663 0.336 0.626
O 0.671 0.339 0.123
O 0.675 0.036 0.005
O 0.698 0.056 0.504
O 0.727 0.022 0.210
O 0.733 0.011 0.709
O 0.802 0.932 0.372
O 0.802 0.936 0.870
O 0.881 0.808 0.090
O 0.896 0.785 0.601
O 0.937 0.710 0.758
O 0.959 0.701 0.250
O 0.994 0.676 0.956